Structure and computed X-ray powder pattern of PrNd2Pb7 (a DFT-relaxed cell (GGA-PBE, OQMD); a wavelength of 1.5418 Å).
No peak broadening, texture or thermal motion is included.

Top 8 peaks for 2θ from 15° to 90°, in order of rising 2θ:
- 2θ = 31.53°, rel. 100
- 2θ = 34.24°, rel. 18
- 2θ = 37.58°, rel. 16
- 2θ = 37.79°, rel. 16
- 2θ = 54.35°, rel. 11
- 2θ = 59.61°, rel. 13
- 2θ = 64.06°, rel. 14
- 2θ = 64.34°, rel. 13

Cell and atoms:
```
data_PrNd2Pb7
_chemical_formula_sum 'Pr1 Nd2 Pb7'
_cell_length_a 13.3106
_cell_length_b 13.3106
_cell_length_c 4.7872
_cell_angle_alpha 90.00
_cell_angle_beta 90.00
_cell_angle_gamma 159.39
_symmetry_space_group_name_H-M 'P 1'
_symmetry_Int_Tables_number 1
loop_
_symmetry_equiv_pos_as_xyz
'x,y,z'
loop_
_atom_site_label
_atom_site_type_symbol
_atom_site_fract_x
_atom_site_fract_y
_atom_site_fract_z
Pr1 Pr 0.0000 0.0000 0.0000
Nd1 Nd 0.1880 0.8120 0.0000
Nd2 Nd 0.8120 0.1880 0.0000
Pb1 Pb 0.0974 0.9026 0.5000
Pb2 Pb 0.2931 0.7069 0.5000
Pb3 Pb 0.4034 0.5966 0.0000
Pb4 Pb 0.5000 0.5000 0.5000
Pb5 Pb 0.5966 0.4034 0.0000
Pb6 Pb 0.7069 0.2931 0.5000
Pb7 Pb 0.9026 0.0974 0.5000
```

***

Structure and computed X-ray powder pattern of NdSnPbSe3 (a DFT-relaxed cell (GGA-PBE, OQMD); a wavelength of 1.5418 Å).
No peak broadening, texture or thermal motion is included.

Top 8 peaks for 2θ from 15° to 90°, in order of rising 2θ:
- 2θ = 20.48°, rel. 31
- 2θ = 28.70°, rel. 100
- 2θ = 32.24°, rel. 71
- 2θ = 33.56°, rel. 51
- 2θ = 37.46°, rel. 38
- 2θ = 40.11°, rel. 36
- 2θ = 41.96°, rel. 31
- 2θ = 51.16°, rel. 27

Cell and atoms:
```
data_NdSnPbSe3
_chemical_formula_sum 'Nd2 Sn2 Pb2 Se6'
_cell_length_a 7.7401
_cell_length_b 7.7401
_cell_length_c 10.6816
_cell_angle_alpha 90.00
_cell_angle_beta 90.00
_cell_angle_gamma 147.70
_symmetry_space_group_name_H-M 'P 1'
_symmetry_Int_Tables_number 1
loop_
_symmetry_equiv_pos_as_xyz
'x,y,z'
loop_
_atom_site_label
_atom_site_type_symbol
_atom_site_fract_x
_atom_site_fract_y
_atom_site_fract_z
Nd1 Nd 0.0000 0.0000 0.0000
Nd2 Nd 0.0000 0.0000 0.5000
Sn1 Sn 0.4527 0.5473 0.7500
Sn2 Sn 0.5473 0.4527 0.2500
Pb1 Pb 0.2557 0.7443 0.2500
Pb2 Pb 0.7443 0.2557 0.7500
Se1 Se 0.1103 0.8897 0.7500
Se2 Se 0.3565 0.6435 0.5308
Se3 Se 0.3565 0.6435 0.9692
Se4 Se 0.6435 0.3565 0.0308
Se5 Se 0.6435 0.3565 0.4692
Se6 Se 0.8897 0.1103 0.2500
```

***

Structure and computed X-ray powder pattern of NdTmPbSe3 (a DFT-relaxed cell (GGA-PBE, OQMD); a wavelength of 1.5418 Å).
No peak broadening, texture or thermal motion is included.

Top 8 peaks for 2θ from 15° to 90°, in order of rising 2θ:
- 2θ = 29.13°, rel. 100
- 2θ = 30.83°, rel. 54
- 2θ = 32.11°, rel. 85
- 2θ = 36.59°, rel. 37
- 2θ = 41.17°, rel. 29
- 2θ = 42.15°, rel. 31
- 2θ = 48.58°, rel. 31
- 2θ = 53.12°, rel. 24

Cell and atoms:
```
data_NdTmPbSe3
_chemical_formula_sum 'Nd2 Tm2 Pb2 Se6'
_cell_length_a 7.4207
_cell_length_b 7.4207
_cell_length_c 11.6006
_cell_angle_alpha 90.00
_cell_angle_beta 90.00
_cell_angle_gamma 146.41
_symmetry_space_group_name_H-M 'P 1'
_symmetry_Int_Tables_number 1
loop_
_symmetry_equiv_pos_as_xyz
'x,y,z'
loop_
_atom_site_label
_atom_site_type_symbol
_atom_site_fract_x
_atom_site_fract_y
_atom_site_fract_z
Nd1 Nd 0.0000 0.0000 0.0000
Nd2 Nd 0.0000 0.0000 0.5000
Tm1 Tm 0.4534 0.5466 0.7500
Tm2 Tm 0.5466 0.4534 0.2500
Pb1 Pb 0.2291 0.7709 0.2500
Pb2 Pb 0.7709 0.2291 0.7500
Se1 Se 0.0747 0.9253 0.7500
Se2 Se 0.3577 0.6423 0.5458
Se3 Se 0.3577 0.6423 0.9542
Se4 Se 0.6423 0.3577 0.0458
Se5 Se 0.6423 0.3577 0.4542
Se6 Se 0.9253 0.0747 0.2500
```

***

Structure and computed X-ray powder pattern of Nd3Sn2Pb5 (a DFT-relaxed cell (GGA-PBE, OQMD); a wavelength of 1.5418 Å).
No peak broadening, texture or thermal motion is included.

Top 8 peaks for 2θ from 15° to 90°, in order of rising 2θ:
- 2θ = 31.68°, rel. 100
- 2θ = 34.14°, rel. 18
- 2θ = 37.58°, rel. 17
- 2θ = 38.39°, rel. 16
- 2θ = 52.31°, rel. 12
- 2θ = 59.58°, rel. 13
- 2θ = 64.15°, rel. 14
- 2θ = 65.25°, rel. 13

Cell and atoms:
```
data_Nd3Sn2Pb5
_chemical_formula_sum 'Nd3 Sn2 Pb5'
_cell_length_a 13.3399
_cell_length_b 13.3399
_cell_length_c 4.7868
_cell_angle_alpha 90.00
_cell_angle_beta 90.00
_cell_angle_gamma 159.75
_symmetry_space_group_name_H-M 'P 1'
_symmetry_Int_Tables_number 1
loop_
_symmetry_equiv_pos_as_xyz
'x,y,z'
loop_
_atom_site_label
_atom_site_type_symbol
_atom_site_fract_x
_atom_site_fract_y
_atom_site_fract_z
Nd1 Nd 0.0000 0.0000 0.0000
Nd2 Nd 0.1894 0.8106 0.0000
Nd3 Nd 0.8106 0.1894 0.0000
Sn1 Sn 0.2898 0.7102 0.5000
Sn2 Sn 0.7102 0.2898 0.5000
Pb1 Pb 0.0978 0.9022 0.5000
Pb2 Pb 0.4033 0.5967 0.0000
Pb3 Pb 0.5000 0.5000 0.5000
Pb4 Pb 0.5967 0.4033 0.0000
Pb5 Pb 0.9022 0.0978 0.5000
```

***

Structure and computed X-ray powder pattern of Nd3Sn6Pb (a DFT-relaxed cell (GGA-PBE, OQMD); a wavelength of 1.5418 Å).
No peak broadening, texture or thermal motion is included.

Top 8 peaks for 2θ from 15° to 90°, in order of rising 2θ:
- 2θ = 32.25°, rel. 100
- 2θ = 34.53°, rel. 17
- 2θ = 38.44°, rel. 17
- 2θ = 39.10°, rel. 16
- 2θ = 53.13°, rel. 12
- 2θ = 56.00°, rel. 11
- 2θ = 65.65°, rel. 13
- 2θ = 66.56°, rel. 13

Cell and atoms:
```
data_Nd3Sn6Pb
_chemical_formula_sum 'Nd3 Sn6 Pb1'
_cell_length_a 13.1910
_cell_length_b 13.1910
_cell_length_c 4.6834
_cell_angle_alpha 90.00
_cell_angle_beta 90.00
_cell_angle_gamma 159.89
_symmetry_space_group_name_H-M 'P 1'
_symmetry_Int_Tables_number 1
loop_
_symmetry_equiv_pos_as_xyz
'x,y,z'
loop_
_atom_site_label
_atom_site_type_symbol
_atom_site_fract_x
_atom_site_fract_y
_atom_site_fract_z
Nd1 Nd 0.0000 0.0000 0.0000
Nd2 Nd 0.1862 0.8138 0.0000
Nd3 Nd 0.8138 0.1862 0.0000
Sn1 Sn 0.0970 0.9030 0.5000
Sn2 Sn 0.2897 0.7103 0.5000
Sn3 Sn 0.4039 0.5961 0.0000
Sn4 Sn 0.5961 0.4039 0.0000
Sn5 Sn 0.7103 0.2897 0.5000
Sn6 Sn 0.9030 0.0970 0.5000
Pb1 Pb 0.5000 0.5000 0.5000
```

***

Structure and computed X-ray powder pattern of Nd5Te4Pb (a DFT-relaxed cell (GGA-PBE, OQMD); a wavelength of 1.5418 Å).
No peak broadening, texture or thermal motion is included.

Top 8 peaks for 2θ from 15° to 90°, in order of rising 2θ:
- 2θ = 27.93°, rel. 100
- 2θ = 39.91°, rel. 77
- 2θ = 49.42°, rel. 28
- 2θ = 57.67°, rel. 9
- 2θ = 65.28°, rel. 24
- 2θ = 65.40°, rel. 12
- 2θ = 72.45°, rel. 18
- 2θ = 72.55°, rel. 9

Cell and atoms:
```
data_Nd5Te4Pb
_chemical_formula_sum 'Nd5 Te4 Pb1'
_cell_length_a 7.8274
_cell_length_b 7.8274
_cell_length_c 7.8274
_cell_angle_alpha 99.56
_cell_angle_beta 99.56
_cell_angle_gamma 131.91
_symmetry_space_group_name_H-M 'P 1'
_symmetry_Int_Tables_number 1
loop_
_symmetry_equiv_pos_as_xyz
'x,y,z'
loop_
_atom_site_label
_atom_site_type_symbol
_atom_site_fract_x
_atom_site_fract_y
_atom_site_fract_z
Nd1 Nd 0.0000 0.0000 0.0000
Nd2 Nd 0.2032 0.4007 0.6038
Nd3 Nd 0.4007 0.7968 0.1975
Nd4 Nd 0.5993 0.2032 0.8025
Nd5 Nd 0.7968 0.5993 0.3962
Te1 Te 0.0992 0.6994 0.7985
Te2 Te 0.3006 0.0992 0.3998
Te3 Te 0.6994 0.9008 0.6002
Te4 Te 0.9008 0.3006 0.2015
Pb1 Pb 0.5000 0.5000 0.0000
```

***

Structure and computed X-ray powder pattern of Pr2NdSi4Pd2Pt2 (a DFT-relaxed cell (GGA-PBE, OQMD); a wavelength of 1.5418 Å).
No peak broadening, texture or thermal motion is included.

Top 8 peaks for 2θ from 15° to 90°, in order of rising 2θ:
- 2θ = 28.86°, rel. 15
- 2θ = 33.29°, rel. 18
- 2θ = 33.46°, rel. 100
- 2θ = 42.49°, rel. 19
- 2θ = 43.61°, rel. 18
- 2θ = 62.52°, rel. 12
- 2θ = 72.00°, rel. 11
- 2θ = 73.58°, rel. 12

Cell and atoms:
```
data_Pr2NdSi4Pd2Pt2
_chemical_formula_sum 'Pr2 Nd1 Si4 Pd2 Pt2'
_cell_length_a 12.7271
_cell_length_b 12.7271
_cell_length_c 12.7271
_cell_angle_alpha 161.23
_cell_angle_beta 160.75
_cell_angle_gamma 27.01
_symmetry_space_group_name_H-M 'P 1'
_symmetry_Int_Tables_number 1
loop_
_symmetry_equiv_pos_as_xyz
'x,y,z'
loop_
_atom_site_label
_atom_site_type_symbol
_atom_site_fract_x
_atom_site_fract_y
_atom_site_fract_z
Pr1 Pr 0.1463 0.1463 0.0000
Pr2 Pr 0.8537 0.8537 0.0000
Nd1 Nd 0.5000 0.0000 0.5000
Si1 Si 0.0482 0.5482 0.5000
Si2 Si 0.3043 0.3043 0.0000
Si3 Si 0.6957 0.6957 0.0000
Si4 Si 0.9518 0.4518 0.5000
Pd1 Pd 0.4032 0.4032 0.0000
Pd2 Pd 0.5968 0.5968 0.0000
Pt1 Pt 0.2520 0.7520 0.5000
Pt2 Pt 0.7480 0.2480 0.5000
```

***

Structure and computed X-ray powder pattern of Pr2NdSi2Sn2Pd4 (a DFT-relaxed cell (GGA-PBE, OQMD); a wavelength of 1.5418 Å).
No peak broadening, texture or thermal motion is included.

Top 8 peaks for 2θ from 15° to 90°, in order of rising 2θ:
- 2θ = 27.45°, rel. 18
- 2θ = 32.25°, rel. 28
- 2θ = 32.56°, rel. 100
- 2θ = 36.93°, rel. 41
- 2θ = 40.59°, rel. 29
- 2θ = 43.70°, rel. 24
- 2θ = 58.51°, rel. 22
- 2θ = 61.16°, rel. 17

Cell and atoms:
```
data_Pr2NdSi2Sn2Pd4
_chemical_formula_sum 'Pr2 Nd1 Si2 Sn2 Pd4'
_cell_length_a 13.4372
_cell_length_b 13.4372
_cell_length_c 13.4372
_cell_angle_alpha 162.26
_cell_angle_beta 160.96
_cell_angle_gamma 26.13
_symmetry_space_group_name_H-M 'P 1'
_symmetry_Int_Tables_number 1
loop_
_symmetry_equiv_pos_as_xyz
'x,y,z'
loop_
_atom_site_label
_atom_site_type_symbol
_atom_site_fract_x
_atom_site_fract_y
_atom_site_fract_z
Pr1 Pr 0.1558 0.1558 0.0000
Pr2 Pr 0.8442 0.8442 0.0000
Nd1 Nd 0.5000 0.0000 0.5000
Si1 Si 0.2998 0.2998 0.0000
Si2 Si 0.7002 0.7002 0.0000
Sn1 Sn 0.0541 0.5541 0.5000
Sn2 Sn 0.9459 0.4459 0.5000
Pd1 Pd 0.2504 0.7504 0.5000
Pd2 Pd 0.3911 0.3911 0.0000
Pd3 Pd 0.6089 0.6089 0.0000
Pd4 Pd 0.7496 0.2496 0.5000
```

***

Structure and computed X-ray powder pattern of Pr2NdZn2Si4Pd2 (a DFT-relaxed cell (GGA-PBE, OQMD); a wavelength of 1.5418 Å).
No peak broadening, texture or thermal motion is included.

Top 8 peaks for 2θ from 15° to 90°, in order of rising 2θ:
- 2θ = 23.88°, rel. 18
- 2θ = 33.08°, rel. 29
- 2θ = 33.38°, rel. 100
- 2θ = 42.47°, rel. 19
- 2θ = 43.23°, rel. 19
- 2θ = 46.06°, rel. 12
- 2θ = 55.50°, rel. 13
- 2θ = 62.22°, rel. 12

Cell and atoms:
```
data_Pr2NdZn2Si4Pd2
_chemical_formula_sum 'Pr2 Nd1 Zn2 Si4 Pd2'
_cell_length_a 12.6413
_cell_length_b 12.6413
_cell_length_c 12.6413
_cell_angle_alpha 160.94
_cell_angle_beta 160.61
_cell_angle_gamma 27.31
_symmetry_space_group_name_H-M 'P 1'
_symmetry_Int_Tables_number 1
loop_
_symmetry_equiv_pos_as_xyz
'x,y,z'
loop_
_atom_site_label
_atom_site_type_symbol
_atom_site_fract_x
_atom_site_fract_y
_atom_site_fract_z
Pr1 Pr 0.1473 0.1473 0.0000
Pr2 Pr 0.8527 0.8527 0.0000
Nd1 Nd 0.0000 0.5000 0.5000
Zn1 Zn 0.4029 0.4029 0.0000
Zn2 Zn 0.5971 0.5971 0.0000
Si1 Si 0.3039 0.3039 0.0000
Si2 Si 0.4519 0.9519 0.5000
Si3 Si 0.5481 0.0481 0.5000
Si4 Si 0.6961 0.6961 0.0000
Pd1 Pd 0.2500 0.7500 0.5000
Pd2 Pd 0.7500 0.2500 0.5000
```

***

Structure and computed X-ray powder pattern of Pr2NdZn2Si4Pd2 (a DFT-relaxed cell (GGA-PBE, OQMD); a wavelength of 1.5418 Å).
No peak broadening, texture or thermal motion is included.

Top 8 peaks for 2θ from 15° to 90°, in order of rising 2θ:
- 2θ = 23.49°, rel. 18
- 2θ = 33.00°, rel. 37
- 2θ = 33.40°, rel. 100
- 2θ = 42.59°, rel. 21
- 2θ = 43.67°, rel. 19
- 2θ = 45.05°, rel. 20
- 2θ = 54.90°, rel. 17
- 2θ = 64.54°, rel. 14

Cell and atoms:
```
data_Pr2NdZn2Si4Pd2
_chemical_formula_sum 'Pr2 Nd1 Zn2 Si4 Pd2'
_cell_length_a 12.9165
_cell_length_b 12.9165
_cell_length_c 12.9165
_cell_angle_alpha 161.53
_cell_angle_beta 161.08
_cell_angle_gamma 26.56
_symmetry_space_group_name_H-M 'P 1'
_symmetry_Int_Tables_number 1
loop_
_symmetry_equiv_pos_as_xyz
'x,y,z'
loop_
_atom_site_label
_atom_site_type_symbol
_atom_site_fract_x
_atom_site_fract_y
_atom_site_fract_z
Pr1 Pr 0.1465 0.1465 0.0000
Pr2 Pr 0.8535 0.8535 0.0000
Nd1 Nd 0.5000 0.0000 0.5000
Zn1 Zn 0.2500 0.7500 0.5000
Zn2 Zn 0.7500 0.2500 0.5000
Si1 Si 0.0474 0.5474 0.5000
Si2 Si 0.3093 0.3093 0.0000
Si3 Si 0.6907 0.6907 0.0000
Si4 Si 0.9526 0.4526 0.5000
Pd1 Pd 0.4055 0.4055 0.0000
Pd2 Pd 0.5945 0.5945 0.0000
```

***

Structure and computed X-ray powder pattern of PrNdTlPd2 (a DFT-relaxed cell (GGA-PBE, OQMD); a wavelength of 1.5418 Å).
No peak broadening, texture or thermal motion is included.

Top 8 peaks for 2θ from 15° to 90°, in order of rising 2θ:
- 2θ = 27.44°, rel. 19
- 2θ = 32.02°, rel. 100
- 2θ = 32.96°, rel. 53
- 2θ = 36.22°, rel. 67
- 2θ = 42.94°, rel. 25
- 2θ = 47.18°, rel. 19
- 2θ = 55.18°, rel. 25
- 2θ = 60.90°, rel. 22

Cell and atoms:
```
data_PrNdTlPd2
_chemical_formula_sum 'Pr1 Nd1 Tl1 Pd2'
_cell_length_a 3.8527
_cell_length_b 7.9504
_cell_length_c 7.9504
_cell_angle_alpha 30.72
_cell_angle_beta 90.00
_cell_angle_gamma 90.00
_symmetry_space_group_name_H-M 'P 1'
_symmetry_Int_Tables_number 1
loop_
_symmetry_equiv_pos_as_xyz
'x,y,z'
loop_
_atom_site_label
_atom_site_type_symbol
_atom_site_fract_x
_atom_site_fract_y
_atom_site_fract_z
Pr1 Pr 0.0000 0.0000 0.0000
Nd1 Nd 0.0000 0.7344 0.7344
Tl1 Tl 0.5000 0.3670 0.3670
Pd1 Pd 0.5000 0.1764 0.1764
Pd2 Pd 0.5000 0.5597 0.5597
```

***

Structure and computed X-ray powder pattern of Nd2Sn2Pd3Pt (a DFT-relaxed cell (GGA-PBE, OQMD); a wavelength of 1.5418 Å).
No peak broadening, texture or thermal motion is included.

Top 8 peaks for 2θ from 15° to 90°, in order of rising 2θ:
- 2θ = 22.23°, rel. 12
- 2θ = 29.49°, rel. 27
- 2θ = 36.74°, rel. 100
- 2θ = 39.01°, rel. 96
- 2θ = 54.66°, rel. 32
- 2θ = 64.62°, rel. 17
- 2θ = 69.18°, rel. 31
- 2θ = 70.67°, rel. 17

Cell and atoms:
```
data_Nd2Sn2Pd3Pt
_chemical_formula_sum 'Nd2 Sn2 Pd3 Pt1'
_cell_length_a 4.6173
_cell_length_b 4.6173
_cell_length_c 9.2787
_cell_angle_alpha 90.00
_cell_angle_beta 90.00
_cell_angle_gamma 120.00
_symmetry_space_group_name_H-M 'P 1'
_symmetry_Int_Tables_number 1
loop_
_symmetry_equiv_pos_as_xyz
'x,y,z'
loop_
_atom_site_label
_atom_site_type_symbol
_atom_site_fract_x
_atom_site_fract_y
_atom_site_fract_z
Nd1 Nd 0.0000 0.0000 0.0000
Nd2 Nd 0.3333 0.6667 0.4968
Sn1 Sn 0.6667 0.3333 0.2459
Sn2 Sn 0.6667 0.3333 0.7466
Pd1 Pd 0.0000 0.0000 0.3346
Pd2 Pd 0.0000 0.0000 0.6653
Pd3 Pd 0.3333 0.6667 0.8299
Pt1 Pt 0.3333 0.6667 0.1635
```

***

Structure and computed X-ray powder pattern of Nd2YSn3Pd2Pt (a DFT-relaxed cell (GGA-PBE, OQMD); a wavelength of 1.5418 Å).
No peak broadening, texture or thermal motion is included.

Top 8 peaks for 2θ from 15° to 90°, in order of rising 2θ:
- 2θ = 32.08°, rel. 78
- 2θ = 34.91°, rel. 100
- 2θ = 36.02°, rel. 38
- 2θ = 41.04°, rel. 40
- 2θ = 42.43°, rel. 42
- 2θ = 44.20°, rel. 27
- 2θ = 61.89°, rel. 24
- 2θ = 65.77°, rel. 35

Cell and atoms:
```
data_Nd2YSn3Pd2Pt
_chemical_formula_sum 'Nd2 Y1 Sn3 Pd2 Pt1'
_cell_length_a 4.0984
_cell_length_b 7.6155
_cell_length_c 7.6155
_cell_angle_alpha 119.93
_cell_angle_beta 90.00
_cell_angle_gamma 90.00
_symmetry_space_group_name_H-M 'P 1'
_symmetry_Int_Tables_number 1
loop_
_symmetry_equiv_pos_as_xyz
'x,y,z'
loop_
_atom_site_label
_atom_site_type_symbol
_atom_site_fract_x
_atom_site_fract_y
_atom_site_fract_z
Nd1 Nd 0.0000 0.2039 0.7961
Nd2 Nd 0.0000 0.7961 0.2039
Y1 Y 0.0000 0.6093 0.6093
Sn1 Sn 0.5000 0.2069 0.4603
Sn2 Sn 0.5000 0.4603 0.2069
Sn3 Sn 0.5000 0.9492 0.9492
Pd1 Pd 0.5000 0.5402 0.8670
Pd2 Pd 0.5000 0.8670 0.5402
Pt1 Pt 0.0000 0.2085 0.2085
```

***

Structure and computed X-ray powder pattern of Nd3Sb4Pd7 (a DFT-relaxed cell (GGA-PBE, OQMD); a wavelength of 1.5418 Å).
No peak broadening, texture or thermal motion is included.

Top 8 peaks for 2θ from 15° to 90°, in order of rising 2θ:
- 2θ = 33.56°, rel. 66
- 2θ = 33.68°, rel. 73
- 2θ = 33.81°, rel. 100
- 2θ = 36.20°, rel. 24
- 2θ = 39.67°, rel. 31
- 2θ = 40.41°, rel. 68
- 2θ = 41.04°, rel. 32
- 2θ = 43.67°, rel. 38

Cell and atoms:
```
data_Nd3Sb4Pd7
_chemical_formula_sum 'Nd3 Sb4 Pd7'
_cell_length_a 8.5548
_cell_length_b 8.5548
_cell_length_c 10.0119
_cell_angle_alpha 125.49
_cell_angle_beta 125.49
_cell_angle_gamma 30.25
_symmetry_space_group_name_H-M 'P 1'
_symmetry_Int_Tables_number 1
loop_
_symmetry_equiv_pos_as_xyz
'x,y,z'
loop_
_atom_site_label
_atom_site_type_symbol
_atom_site_fract_x
_atom_site_fract_y
_atom_site_fract_z
Nd1 Nd 0.0000 0.0000 0.0000
Nd2 Nd 0.3234 0.3234 0.3149
Nd3 Nd 0.6766 0.6766 0.6851
Sb1 Sb 0.1178 0.1178 0.3941
Sb2 Sb 0.3339 0.3339 0.9586
Sb3 Sb 0.6661 0.6661 0.0414
Sb4 Sb 0.8822 0.8822 0.6059
Pd1 Pd 0.0000 0.0000 0.5000
Pd2 Pd 0.1375 0.1375 0.8668
Pd3 Pd 0.3151 0.3151 0.6745
Pd4 Pd 0.4986 0.4986 0.2913
Pd5 Pd 0.5014 0.5014 0.7087
Pd6 Pd 0.6849 0.6849 0.3255
Pd7 Pd 0.8625 0.8625 0.1332
```